Computed powder X-ray diffraction pattern
Compound: Sm12InCu5
Radiation: a wavelength of 1.5418 Å
Structure: DFT lattice parameters and positions (PBE)

Principal peaks in the range 10 to 90 degrees two-theta, in order of rising 2θ:
d/Å, 2θ (°), I_rel
3.139, 28.43, 22
3.033, 29.45, 27
2.869, 31.17, 100
2.706, 33.11, 54
2.673, 33.53, 63
2.624, 34.17, 43
2.594, 34.58, 22
2.390, 37.63, 27
1.763, 51.86, 26
1.576, 58.56, 30

Atomic structure:
```
Sm12InCu5
1.0
-4.781 4.937 5.220
4.781 -4.937 5.220
4.781 4.937 -5.220
Sm In Cu
12 1 5
direct
0.043 0.232 0.811
0.180 0.280 0.460
0.180 0.720 0.901
0.321 0.016 0.695
0.321 0.626 0.305
0.420 0.232 0.189
0.580 0.768 0.811
0.679 0.374 0.695
0.679 0.984 0.305
0.820 0.280 0.099
0.820 0.720 0.540
0.957 0.768 0.189
0.500 0.500 0.000
0.000 0.000 0.000
0.118 0.618 0.500
0.356 0.000 0.356
0.644 0.000 0.644
0.882 0.382 0.500
```